Diffraction record for Np3NiSe6. The X-ray powder pattern is computed, not measured: it uses the GGA-PBE geometry in Alexandria and Cu Kα X-rays.
Neutral-atom scattering factors, no anomalous dispersion.

Unit cell a=11.116 b=13.564 c=6.567 alpha=90.00 beta=90.00 gamma=90.00
Space group Cmc2_1 (No. 36)
Inequivalent atoms, fractional coordinates:
Np1 0.000 0.109 0.000
Np2 0.173 0.397 0.095
Ni1 0.000 0.303 0.671
Se1 0.000 0.276 0.301
Se2 0.000 0.466 0.792
Se3 0.162 0.032 0.298
Se4 0.175 0.233 0.818

Main lines, most intense first (10° ≤ 2θ ≤ 90°):
2θ/deg  d (Å)  intensity  (hkl)
24.8  3.597  100  2 2 1
37.2  2.418  77  3 1 2
25.2  3.531  66  1 3 1
41.2  2.189  57  3 5 0
34.1  2.627  56  3 3 1
38.1  2.359  54  0 4 2
17.0  5.219  53  1 1 1
49.2  1.853  25  6 0 0
43.5  2.082  24  0 2 3
37.6  2.394  23  4 2 1

Diffraction record for NpTlNiSe4. The X-ray powder pattern is computed, not measured: it uses the GGA-PBE geometry in Alexandria and Cu Kα X-rays.
Neutral-atom scattering factors, no anomalous dispersion.

Unit cell a=6.923 b=5.747 c=9.271 alpha=90.00 beta=106.00 gamma=90.00
Space group P2_1/m (No. 11)
Inequivalent atoms, fractional coordinates:
Np1 0.236 0.250 0.449
Tl1 0.236 0.250 0.951
Ni1 0.249 0.750 0.657
Se1 0.050 0.750 0.826
Se2 0.075 0.750 0.407
Se3 0.481 0.507 0.290

Main lines, most intense first (10° ≤ 2θ ≤ 90°):
2θ/deg  d (Å)  intensity  (hkl)
20.4  4.350  100  1 1 0
31.2  2.865  91  1 1 2
28.7  3.108  88  2 0 -2
41.5  2.175  53  2 2 0
31.1  2.874  50  0 2 0
37.2  2.415  50  0 2 2
27.0  3.305  48  1 0 2
25.9  3.438  47  1 1 -2
32.8  2.734  44  2 1 -2
41.2  2.192  42  2 1 2

Diffraction record for Np2Si7Ni12. The X-ray powder pattern is computed, not measured: it uses the GGA-PBE geometry in Alexandria and Cu Kα X-rays.
Neutral-atom scattering factors, no anomalous dispersion.

Unit cell a=9.3425 b=9.3425 c=3.6321 alpha=90.00 beta=90.00 gamma=120.00
Space group P-3 (No. 147)
Inequivalent atoms, fractional coordinates:
Np1 0.3333 0.6667 0.2468
Si1 0.0000 0.0000 0.5000
Si2 0.1126 0.4028 0.7487
Ni1 0.0563 0.6202 0.7522
Ni2 0.1172 0.8582 0.2493

Main lines, most intense first (10° ≤ 2θ ≤ 90°):
2θ/deg  d (Å)  intensity  (hkl)
38.5  2.339  100  3 -1 1
26.9  3.314  19  1 0 1
33.2  2.699  18  3 0 0
51.8  1.766  15  4 1 0
10.9  8.091  13  1 0 0
29.2  3.058  12  1 2 0
50.2  1.816  11  0 0 2
19.0  4.671  11  1 1 0
55.6  1.653  10  5 -2 1
66.3  1.409  9  2 4 1